Entry 1:
Y2Sn3Pb3S12: theoretical X-ray powder pattern (Cu Kα (weighted mean of Kα1 and Kα2)), based on the PBE geometry in the Materials Project.

Peak list (10 most intense, 2θ from 5° to 70°, sorted by position)
two_theta	I_rel	h k l
17.50	19.2	0 2 2
23.14	20.8	0 4 2
26.16	26.9	0 6 0
26.38	38.5	0 3 3
27.26	100.0	1 0 2
32.51	59.4	1 4 2
32.63	25.3	1 1 3
38.17	27.0	1 6 2
46.05	31.5	2 0 0
46.82	18.5	1 9 1

Crystal structure
a = 3.942 Å, b = 20.439 Å, c = 11.672 Å
α = 90.00°, β = 90.00°, γ = 90.00°
Space group Pmc2_1 (No. 26)
Symmetry-distinct sites (fractional):
Y: 0.000 0.088 0.000 x2
Y: 0.000 0.395 0.322 x2
Sn: 0.500 0.075 0.655 x2
Sn: 0.500 0.250 0.147 x2
Sn: 0.500 0.412 0.629 x2
Pb: 0.000 0.122 0.377 x2
Pb: 0.000 0.242 0.743 x2
Pb: 0.000 0.414 0.951 x2
S: 0.000 0.009 0.711 x2
S: 0.000 0.242 0.002 x2
S: 0.000 0.257 0.298 x2
S: 0.000 0.341 0.546 x2
S: 0.000 0.483 0.709 x2
S: 0.500 0.010 0.466 x2
S: 0.500 0.126 0.163 x2
S: 0.500 0.140 0.844 x2
S: 0.500 0.177 0.546 x2
S: 0.500 0.343 0.810 x2
S: 0.500 0.376 0.157 x2
S: 0.500 0.469 0.434 x2


Entry 2:
SrPb3S4: theoretical X-ray powder pattern (Cu Kα (weighted mean of Kα1 and Kα2)), based on the PBE geometry in the Materials Project.

Peak list (10 most intense, 2θ from 5° to 70°, sorted by position)
two_theta	I_rel	h k l
6.36	17.4	0 0 3
25.53	64.5	1 0 4
25.65	21.3	0 0 12
29.60	100.0	0 1 8
42.28	37.9	1 1 0
42.43	37.5	1 0 16
50.09	34.3	1 1 12
52.45	20.1	2 0 8
69.56	17.5	1 2 8
69.78	17.4	1 1 24

Crystal structure
a = 4.2755 Å, b = 4.2755 Å, c = 41.6716 Å
α = 90.00°, β = 90.00°, γ = 120.00°
Space group R-3m (No. 166, hexagonal axes)
Symmetry-distinct sites (fractional):
Sr: 0.0000 0.0000 0.0000 x3
Pb: 0.0000 0.0000 0.2498 x6
Pb: 0.0000 0.0000 0.5000 x3
S: 0.0000 0.0000 0.1251 x6
S: 0.0000 0.0000 0.3748 x6


Entry 3:
SrPbS2: theoretical X-ray powder pattern (Cu Kα (weighted mean of Kα1 and Kα2)), based on the PBE geometry in the Materials Project.

Peak list (10 most intense, 2θ from 5° to 70°, sorted by position)
two_theta	I_rel	h k l
12.66	21.9	0 0 3
24.40	16.1	1 0 1
25.50	73.0	0 1 2
29.52	100.0	1 0 4
42.24	74.6	1 1 0
49.99	38.9	2 0 2
52.38	26.4	0 2 4
61.27	12.3	2 0 8
67.47	16.4	1 2 2
69.46	34.2	2 1 4

Crystal structure
a = 4.2769 Å, b = 4.2769 Å, c = 20.9809 Å
α = 90.00°, β = 90.00°, γ = 120.00°
Space group R-3m (No. 166, hexagonal axes)
Symmetry-distinct sites (fractional):
Sr: 0.0000 0.0000 0.0000 x3
Pb: 0.0000 0.0000 0.5000 x3
S: 0.0000 0.0000 0.2509 x6


Entry 4:
Sr3PbS4: theoretical X-ray powder pattern (Cu Kα (weighted mean of Kα1 and Kα2)), based on the PBE geometry in the Materials Project.

Peak list (10 most intense, 2θ from 5° to 70°, sorted by position)
two_theta	I_rel	h k l
10.32	12.3	0 0 1
17.94	7.2	0 1 1
25.47	57.0	1 1 0
29.49	100.0	1 0 2
42.19	73.6	2 0 0
49.93	30.4	2 1 2
52.31	25.8	2 2 0
61.19	12.0	2 0 4
67.37	12.7	3 1 0
69.37	33.3	3 0 2

Crystal structure
a = 4.285 Å, b = 6.053 Å, c = 8.573 Å
α = 90.00°, β = 90.00°, γ = 90.00°
Space group Pmmm (No. 47)
Symmetry-distinct sites (fractional):
Sr: 0.000 0.000 0.000 x1
Sr: 0.500 0.500 0.252 x2
Pb: 0.000 0.000 0.500 x1
S: 0.000 0.500 0.000 x1
S: 0.000 0.500 0.500 x1
S: 0.500 0.000 0.248 x2